Starting from a cell relaxed with GGA-PBE, the X-ray diffraction stick pattern of La6Sm3Dy was calculated for Cu Kα.
Lines closer than 0.1° are merged.

Crystal structure
Cell lengths 11.2174, 11.2174, 6.6186 Å; angles 90.00, 90.00, 121.67 degrees
Element x y z (fractional)
La 0.0313 0.9687 0.5000
La 0.0708 0.4860 0.9892
La 0.2829 0.7171 0.6962
La 0.2871 0.3664 0.8035
La 0.3664 0.2871 0.3035
La 0.4860 0.0708 0.4892
La 0.5140 0.9292 0.9892
La 0.6336 0.7129 0.8035
La 0.7129 0.6336 0.3035
La 0.7171 0.2829 0.1962
La 0.9292 0.5140 0.4892
La 0.9687 0.0313 0.0000
Sm 0.0558 0.2934 0.3936
Sm 0.2934 0.0558 0.8936
Sm 0.3843 0.6157 0.2755
Sm 0.6157 0.3843 0.7755
Sm 0.7066 0.9442 0.3936
Sm 0.9442 0.7066 0.8936
Dy 0.1883 0.8117 0.2526
Dy 0.8117 0.1883 0.7526

Main lines, most intense first (10° ≤ 2θ ≤ 90°):
| 2theta | d (Å) | I/Imax |
| --- | --- | --- |
| 30.53 | 2.928 | 100 |
| 32.93 | 2.720 | 57 |
| 28.33 | 3.151 | 54 |
| 27.93 | 3.195 | 53 |
| 31.19 | 2.868 | 43 |
| 33.58 | 2.668 | 33 |
| 28.53 | 3.129 | 25 |
| 31.60 | 2.831 | 24 |
| 59.77 | 1.547 | 23 |
| 27.69 | 3.222 | 19 |

=====

Starting from a cell relaxed with GGA-PBE, the X-ray diffraction stick pattern of La6SmDy3 was calculated for Cu Kα.
Lines closer than 0.1° are merged.

Crystal structure
Cell lengths 10.1032, 12.5399, 5.6763 Å; angles 90.00, 90.00, 90.00 degrees
Element x y z (fractional)
La 0.0599 0.2217 0.0000
La 0.1792 0.6732 0.5000
La 0.1842 0.9799 0.0000
La 0.3158 0.4799 0.0000
La 0.3208 0.1732 0.5000
La 0.4401 0.7217 0.0000
La 0.5599 0.2783 0.0000
La 0.6792 0.8268 0.5000
La 0.6842 0.5201 0.0000
La 0.8158 0.0201 0.0000
La 0.8208 0.3268 0.5000
La 0.9401 0.7783 0.0000
Sm 0.0000 0.5000 0.0000
Sm 0.5000 0.0000 0.0000
Dy 0.0000 0.0000 0.5000
Dy 0.1474 0.4031 0.5000
Dy 0.3526 0.9031 0.5000
Dy 0.5000 0.5000 0.5000
Dy 0.6474 0.0969 0.5000
Dy 0.8526 0.5969 0.5000

Main lines, most intense first (10° ≤ 2θ ≤ 90°):
| 2theta | d (Å) | I/Imax |
| --- | --- | --- |
| 31.71 | 2.822 | 100 |
| 31.52 | 2.838 | 64 |
| 27.94 | 3.193 | 42 |
| 31.95 | 2.801 | 37 |
| 27.59 | 3.233 | 34 |
| 32.63 | 2.744 | 33 |
| 34.17 | 2.624 | 26 |
| 29.84 | 2.994 | 24 |
| 47.20 | 1.926 | 20 |
| 56.25 | 1.635 | 20 |

=====

Starting from a cell relaxed with GGA-PBE, the X-ray diffraction stick pattern of La3Sm4Dy5 was calculated for Cu Kα.
Lines closer than 0.1° are merged.

Crystal structure
Cell lengths 6.2728, 7.2395, 8.8887 Å; angles 89.83, 89.82, 89.88 degrees
Element x y z (fractional)
La 0.0000 0.0000 0.0000
La 0.1673 0.2504 0.3319
La 0.8327 0.7496 0.6681
Sm 0.1699 0.7498 0.3323
Sm 0.3317 0.4995 0.6688
Sm 0.6683 0.5005 0.3312
Sm 0.8301 0.2502 0.6677
Dy 0.0000 0.5000 0.0000
Dy 0.3354 0.0004 0.6683
Dy 0.4979 0.7490 0.0003
Dy 0.5021 0.2510 0.9997
Dy 0.6646 0.9996 0.3317

Main lines, most intense first (10° ≤ 2θ ≤ 90°):
| 2theta | d (Å) | I/Imax |
| --- | --- | --- |
| 30.21 | 2.958 | 100 |
| 35.00 | 2.564 | 34 |
| 50.39 | 1.811 | 24 |
| 59.94 | 1.543 | 21 |
| 35.07 | 2.558 | 17 |
| 59.83 | 1.546 | 14 |
| 84.64 | 1.145 | 8 |
| 59.71 | 1.549 | 7 |
| 62.72 | 1.481 | 6 |
| 62.92 | 1.477 | 6 |

=====

Repeat the third record exactly.
Starting from a cell relaxed with GGA-PBE, the X-ray diffraction stick pattern of La3Sm4Dy5 was calculated for Cu Kα.
Lines closer than 0.1° are merged.

Crystal structure
Cell lengths 6.2728, 7.2395, 8.8887 Å; angles 89.83, 89.82, 89.88 degrees
Element x y z (fractional)
La 0.0000 0.0000 0.0000
La 0.1673 0.2504 0.3319
La 0.8327 0.7496 0.6681
Sm 0.1699 0.7498 0.3323
Sm 0.3317 0.4995 0.6688
Sm 0.6683 0.5005 0.3312
Sm 0.8301 0.2502 0.6677
Dy 0.0000 0.5000 0.0000
Dy 0.3354 0.0004 0.6683
Dy 0.4979 0.7490 0.0003
Dy 0.5021 0.2510 0.9997
Dy 0.6646 0.9996 0.3317

Main lines, most intense first (10° ≤ 2θ ≤ 90°):
| 2theta | d (Å) | I/Imax |
| --- | --- | --- |
| 30.21 | 2.958 | 100 |
| 35.00 | 2.564 | 34 |
| 50.39 | 1.811 | 24 |
| 59.94 | 1.543 | 21 |
| 35.07 | 2.558 | 17 |
| 59.83 | 1.546 | 14 |
| 84.64 | 1.145 | 8 |
| 59.71 | 1.549 | 7 |
| 62.72 | 1.481 | 6 |
| 62.92 | 1.477 | 6 |